1.
This entry pairs a crystal structure of ZnAs with its simulated powder XRD pattern. Radiation: Cu Kα (weighted mean of Kα1 and Kα2). Structure: a PBE-relaxed structure.
Lines closer than 0.1° are merged.

Principal peaks in the range 2θ from 10° to 90°, in order of falling intensity:
d (Å), two_theta, Rel. int.
2.924, 30.58, 100
1.941, 46.81, 70
2.870, 31.17, 64
2.527, 35.53, 52
1.847, 49.33, 35
3.670, 24.25, 29
1.915, 47.48, 28
1.802, 50.65, 28
2.170, 41.61, 25
3.187, 27.99, 20
1.658, 55.40, 13
2.406, 37.37, 13

Crystal structure
```
ZnAs
1.0
5.7496 0.0000 0.0000
0.0000 7.3392 0.0000
0.0000 0.0000 7.6592
Zn As
8 8
Direct
0.0396 0.1165 0.1337
0.0396 0.3835 0.6337
0.4604 0.6165 0.1337
0.4604 0.8835 0.6337
0.5396 0.1165 0.3663
0.5396 0.3835 0.8663
0.9604 0.6165 0.3663
0.9604 0.8835 0.8663
0.1368 0.5738 0.8985
0.1368 0.9262 0.3985
0.3632 0.0738 0.8985
0.3632 0.4262 0.3985
0.6368 0.5738 0.6015
0.6368 0.9262 0.1015
0.8632 0.0738 0.6015
0.8632 0.4262 0.1015
```



2.
This entry pairs a crystal structure of Sr3Au2N4 with its simulated powder XRD pattern. Radiation: Cu Kα (weighted mean of Kα1 and Kα2). Structure: a PBE-relaxed structure.
Lines closer than 0.1° are merged.

Principal peaks in the range 2θ from 10° to 90°, in order of falling intensity:
d (Å), two_theta, Rel. int.
7.831, 11.30, 100
2.895, 30.89, 72
2.577, 34.81, 59
2.784, 32.15, 53
5.154, 17.20, 51
5.656, 15.67, 51
3.160, 28.24, 50
2.541, 35.32, 48
4.046, 21.97, 46
2.446, 36.74, 43
2.508, 35.80, 25
2.077, 43.58, 24

Crystal structure
```
Sr3Au2N4
1.0
6.8462 0.0000 0.0000
0.0000 10.8528 0.0000
0.0000 0.0000 11.3121
Sr Au N
12 8 16
Direct
0.1253 0.1405 0.0587
0.1253 0.3595 0.4413
0.2500 0.0000 0.3220
0.2500 0.5000 0.1780
0.3747 0.6405 0.4413
0.3747 0.8595 0.0587
0.6253 0.1405 0.9413
0.6253 0.3595 0.5587
0.7500 0.0000 0.6780
0.7500 0.5000 0.8220
0.8747 0.6405 0.5587
0.8747 0.8595 0.9413
0.0036 0.7500 0.2500
0.2500 0.0000 0.8328
0.2500 0.5000 0.6672
0.4964 0.2500 0.2500
0.5036 0.7500 0.7500
0.7500 0.0000 0.1672
0.7500 0.5000 0.3328
0.9964 0.2500 0.7500
0.0297 0.5836 0.3492
0.0297 0.9164 0.1508
0.0478 0.1999 0.2734
0.0478 0.3001 0.2266
0.4522 0.6999 0.2266
0.4522 0.8001 0.2734
0.4703 0.0836 0.1508
0.4703 0.4164 0.3492
0.5297 0.5836 0.6508
0.5297 0.9164 0.8492
0.5478 0.1999 0.7266
0.5478 0.3001 0.7734
0.9522 0.6999 0.7734
0.9522 0.8001 0.7266
0.9703 0.0836 0.8492
0.9703 0.4164 0.6508
```



3.
This entry pairs a crystal structure of PmDyIn2 with its simulated powder XRD pattern. Radiation: Cu Kα (weighted mean of Kα1 and Kα2). Structure: a PBE-relaxed structure.
Lines closer than 0.1° are merged.

Principal peaks in the range 2θ from 10° to 90°, in order of falling intensity:
d (Å), two_theta, Rel. int.
2.693, 33.27, 100
1.555, 59.45, 37
1.904, 47.76, 18
1.204, 79.60, 16
1.346, 69.86, 11
1.099, 89.05, 4
3.808, 23.36, 2
1.703, 53.83, 1
2.199, 41.05, 1
1.269, 74.79, 1

Crystal structure
```
PmDyIn2
1.0
0.0000 3.8083 3.8083
3.8083 0.0000 3.8083
3.8083 3.8083 0.0000
Pm Dy In
1 1 2
Direct
0.0000 0.0000 0.0000
0.5000 0.5000 0.5000
0.2500 0.2500 0.2500
0.7500 0.7500 0.7500
```



4.
This entry pairs a crystal structure of Pa3Ge with its simulated powder XRD pattern. Radiation: Cu Kα (weighted mean of Kα1 and Kα2). Structure: a PBE-relaxed structure.
Lines closer than 0.1° are merged.

Principal peaks in the range 2θ from 10° to 90°, in order of falling intensity:
d (Å), two_theta, Rel. int.
2.590, 34.63, 100
2.243, 40.20, 50
1.353, 69.48, 41
1.586, 58.15, 35
1.295, 73.05, 12
4.487, 19.79, 12
3.173, 28.13, 10
1.122, 86.83, 6
2.007, 45.19, 6
1.832, 49.78, 4
1.496, 62.06, 3
1.199, 80.01, 2

Crystal structure
```
Pa3Ge
1.0
4.4869 0.0000 0.0000
0.0000 4.4869 0.0000
0.0000 0.0000 4.4869
Pa Ge
3 1
Direct
0.0000 0.0000 0.5000
0.0000 0.5000 0.0000
0.5000 0.0000 0.0000
0.5000 0.5000 0.5000
```



5.
This entry pairs a crystal structure of TiZnAs2O7 with its simulated powder XRD pattern. Radiation: Cu Kα (weighted mean of Kα1 and Kα2). Structure: a PBE-relaxed structure.
Lines closer than 0.1° are merged.

Principal peaks in the range 2θ from 10° to 90°, in order of falling intensity:
d (Å), two_theta, Rel. int.
3.698, 24.06, 100
3.380, 26.37, 70
3.059, 29.20, 37
2.519, 35.64, 26
2.704, 33.13, 25
2.492, 36.04, 22
5.930, 14.94, 21
4.296, 20.67, 21
2.689, 33.32, 18
1.538, 60.16, 14
3.917, 22.70, 13
4.097, 21.69, 13

Crystal structure
```
TiZnAs2O7
1.0
8.4167 0.0000 0.0000
0.0000 8.5930 0.0000
-6.2959 0.0000 9.0229
Ti Zn As O
4 4 8 28
Direct
0.1471 0.0260 0.2845
0.1471 0.4740 0.7845
0.8529 0.5260 0.2155
0.8529 0.9740 0.7155
0.3413 0.1236 0.8782
0.3413 0.3764 0.3782
0.6587 0.6236 0.6218
0.6587 0.8764 0.1218
0.0037 0.6956 0.9648
0.0037 0.8044 0.4648
0.4299 0.7263 0.2643
0.4299 0.7737 0.7643
0.5701 0.2263 0.2357
0.5701 0.2737 0.7357
0.9963 0.1956 0.5352
0.9963 0.3044 0.0352
0.0193 0.6185 0.3972
0.0193 0.8815 0.8972
0.0338 0.0772 0.6890
0.0338 0.4228 0.1890
0.2562 0.1750 0.4114
0.2562 0.3250 0.9114
0.2748 0.6527 0.0837
0.2748 0.8473 0.5837
0.3176 0.6133 0.7770
0.3176 0.8867 0.2770
0.3640 0.2315 0.7233
0.3640 0.2685 0.2233
0.4625 0.5895 0.3917
0.4625 0.9105 0.8917
0.5375 0.0895 0.1083
0.5375 0.4105 0.6083
0.6360 0.7315 0.7767
0.6360 0.7685 0.2767
0.6824 0.1133 0.7230
0.6824 0.3867 0.2230
0.7252 0.1527 0.4163
0.7252 0.3473 0.9163
0.7438 0.6750 0.0886
0.7438 0.8250 0.5886
0.9662 0.5772 0.8110
0.9662 0.9228 0.3110
0.9807 0.1185 0.1028
0.9807 0.3815 0.6028
```